(1)
# Dy2FeCo3
Theoretical X-ray powder pattern, a wavelength of 1.5418 Å. Input: a structure optimized by DFT (GGA-PBE).
Kinematic intensities with the Lorentz-polarization factor, no thermal factor.

Most intense lines, 2θ = 15–90°, in order of rising 2θ:
Position (°2θ)  d/Å  I (rel.)
21.04  4.223  223
34.43  2.605  660
35.93  2.500  611
40.70  2.217  510
41.35  2.183  1000
42.64  2.120  401
42.83  2.112  198
62.66  1.483  244
66.41  1.408  237
67.34  1.390  198
72.59  1.302  226
76.17  1.250  196

```
6
Lattice="2.605 1.504 4.004 -2.605 1.504 4.004 0.000 -3.007 4.004" Properties=species:S:1:pos:R:3 pbc="T T T"
Dy 0.000 0.000 1.525
Dy 0.000 0.000 10.486
Fe 0.000 0.000 6.006
Co -1.302 -0.752 4.004
Co -1.302 0.752 8.008
Co 0.000 1.504 4.004
```

(2)
# Sm3InS6
Theoretical X-ray powder pattern, a wavelength of 1.5418 Å. Input: a structure optimized by DFT (GGA-PBE).
Kinematic intensities with the Lorentz-polarization factor, no thermal factor.

Most intense lines, 2θ = 15–90°, in order of rising 2θ:
Position (°2θ)  d/Å  I (rel.)
22.16  4.011  232
24.90  3.576  1000
25.74  3.461  493
25.97  3.431  281
26.54  3.359  609
30.61  2.921  355
31.76  2.817  323
33.99  2.638  459
35.08  2.558  532
40.36  2.235  355
44.19  2.049  347
45.89  1.978  302

```
40
Lattice="13.725 0.000 0.000 0.000 16.760 0.000 0.000 0.000 3.955" Properties=species:S:1:pos:R:3 pbc="T T T"
Sm 0.508 3.715 0.970
Sm 2.612 10.786 0.976
Sm 3.397 6.544 0.945
Sm 3.466 14.924 3.010
Sm 4.250 2.406 2.980
Sm 6.354 12.095 2.985
Sm 7.371 4.665 2.985
Sm 9.475 14.354 2.980
Sm 10.260 1.836 3.010
Sm 10.328 10.216 0.945
Sm 11.113 5.974 0.976
Sm 13.217 13.045 0.970
In 0.000 0.000 3.577
In 0.000 8.380 2.952
In 6.863 0.000 1.003
In 6.863 8.380 0.378
S 0.279 6.622 0.974
S 1.416 15.238 1.063
S 1.489 1.866 2.946
S 1.564 12.478 2.958
S 2.447 4.733 2.935
S 2.605 8.681 2.951
S 4.258 0.301 1.004
S 4.416 13.113 1.020
S 5.299 4.098 0.997
S 5.374 10.246 1.009
S 5.447 6.857 2.892
S 6.584 15.002 2.981
S 7.142 1.758 2.981
S 8.279 9.903 2.892
S 8.352 6.514 1.009
S 8.426 12.662 0.997
S 9.309 3.647 1.020
S 9.468 16.459 1.004
S 11.120 8.079 2.951
S 11.278 12.028 2.935
S 12.162 4.282 2.958
S 12.236 14.895 2.946
S 12.309 1.523 1.063
S 13.446 10.138 0.974
```

(3)
# Er3Co2Ge4
Theoretical X-ray powder pattern, a wavelength of 1.5418 Å. Input: a structure optimized by DFT (GGA-PBE).
Kinematic intensities with the Lorentz-polarization factor, no thermal factor.

Most intense lines, 2θ = 15–90°, in order of rising 2θ:
Position (°2θ)  d/Å  I (rel.)
24.65  3.612  449
33.51  2.675  726
34.29  2.615  781
34.42  2.606  329
34.99  2.565  834
35.36  2.538  409
41.04  2.199  218
43.39  2.085  1000
56.50  1.629  158
57.14  1.612  203
66.03  1.415  204
74.30  1.277  156

```
9
Lattice="5.280 -2.087 0.000 5.280 2.087 0.000 -2.418 0.000 7.615" Properties=species:S:1:pos:R:3 pbc="T T T"
Er 0.000 0.000 0.000
Er 3.232 0.000 2.341
Er 4.910 0.000 5.274
Co 1.751 0.000 4.795
Co 6.391 0.000 2.820
Ge 0.059 0.000 3.048
Ge 0.842 0.000 7.008
Ge 7.300 0.000 0.607
Ge 8.083 0.000 4.567
```

(4)
# Cs2NaYF6
Theoretical X-ray powder pattern, a wavelength of 1.5418 Å. Input: a structure optimized by DFT (GGA-PBE).
Kinematic intensities with the Lorentz-polarization factor, no thermal factor.

Most intense lines, 2θ = 15–90°, in order of rising 2θ:
Position (°2θ)  d/Å  I (rel.)
16.69  5.312  113
19.29  4.601  105
27.42  3.253  1000
33.74  2.656  237
39.16  2.300  406
44.01  2.057  56
48.47  1.878  413
56.58  1.627  256
64.00  1.455  186
67.53  1.387  77
70.97  1.328  82
77.65  1.230  214

```
10
Lattice="0.000 4.601 4.601 4.601 0.000 4.601 4.601 4.601 0.000" Properties=species:S:1:pos:R:3 pbc="T T T"
Cs 2.300 2.300 2.300
Cs 6.901 6.901 6.901
Na 0.000 0.000 0.000
Y 4.601 4.601 4.601
F 4.601 4.601 2.399
F 4.601 2.399 4.601
F 6.802 4.601 4.601
F 2.399 4.601 4.601
F 4.601 6.802 4.601
F 4.601 4.601 6.802
```